For KCr2TeO8, a structure optimized by DFT (GGA+U) gives the computed PXRD pattern in this record (Cu Kα, 1.54184 Å).

Cell and atoms:
Lattice parameters (Å, degrees): 5.4111 5.4111 7.9656 90.00 90.00 120.00
Fractional positions:
K: 0.0000 0.0000 0.0000
Cr: 0.3333 0.6667 0.7352
Cr: 0.6667 0.3333 0.2648
Te: 0.0000 0.0000 0.5000
O: 0.0664 0.3391 0.6641
O: 0.2727 0.9336 0.6641
O: 0.3333 0.6667 0.9392
O: 0.3391 0.2727 0.3359
O: 0.6609 0.7273 0.6641
O: 0.6667 0.3333 0.0608
O: 0.7273 0.0664 0.3359
O: 0.9336 0.6609 0.3359

The 6 most intense peaks (15 to 90 degrees two-theta), sorted by position:
(hkl), Position (°2θ), I_rel
1 0 0, 18.94, 29
0 1 1, 22.01, 100
0 1 2, 29.43, 79
1 1 0, 33.11, 48
0 2 2, 44.88, 28
3 -2 2, 56.89, 24